Theoretical powder XRD pattern
Compound: Pu2Si2Tc
Radiation: Cu Kα (λ = 1.5418 Å)
Structure: a DFT-relaxed cell (PBE, OQMD)

Cell and atoms:
```
data_Pu2Si2Tc
_cell_length_a 10.2743
_cell_length_b 4.2779
_cell_length_c 9.9894
_cell_angle_alpha 90.00
_cell_angle_beta 117.28
_cell_angle_gamma 90.00
_symmetry_space_group_name_H-M 'C 1 2/m 1'
_symmetry_Int_Tables_number 12
loop_
_symmetry_equiv_pos_as_xyz
'x,y,z'
'-x,-y,-z'
'-x,y,-z'
'x,-y,z'
'x+1/2,y+1/2,z'
'-x+1/2,-y+1/2,-z'
'-x+1/2,y+1/2,-z'
'x+1/2,-y+1/2,z'
loop_
_atom_site_label
_atom_site_fract_x
_atom_site_fract_y
_atom_site_fract_z
Pu1 0.0965 0.0000 0.4004
Pu2 0.1744 0.5000 0.1853
Si1 0.0759 0.0000 0.9313
Si2 0.1147 0.5000 0.6190
Tc1 0.1590 0.5000 0.8822
```

Peak list (6 most intense, 10 to 80 degrees two-theta, sorted by position)
(1 1 -1), 23.20°, I 775; (2 0 1), 25.71°, I 614; (1 1 2), 33.53°, I 695; (3 1 -1), 33.70°, I 748; (3 1 -2), 34.20°, I 734; (1 1 -3), 34.37°, I 1000